Calculated XRD peak list
Compound: BaSmMn4O12
Radiation: Cu Kα (λ = 1.5418 Å)
Structure: a cell relaxed with PBE+U
Peak positions follow from Bragg's law for the DFT cell and can differ from measured ones.

Structural model:
a b c (Å): 5.413 5.413 7.637
angles (deg): 90.00 90.00 90.00
Fractional coordinates of all 18 atoms:
Ba  0.000  0.000  0.000
Sm  0.500  0.500  0.500
Mn  0.000  0.500  0.250
Mn  0.000  0.500  0.750
Mn  0.500  0.000  0.250
Mn  0.500  0.000  0.750
O  0.000  0.500  0.000
O  0.000  0.500  0.500
O  0.260  0.260  0.268
O  0.260  0.260  0.732
O  0.260  0.740  0.268
O  0.260  0.740  0.732
O  0.500  0.000  0.000
O  0.500  0.000  0.500
O  0.740  0.260  0.268
O  0.740  0.260  0.732
O  0.740  0.740  0.268
O  0.740  0.740  0.732

Peak list (12 most intense, 2θ from 10° to 90°, low angle first)
Position (°2θ), Rel. int., index
20.11, 96.2, 1 0 1
33.12, 100.0, 2 0 0
39.05, 51.6, 2 1 1
40.87, 11.6, 2 0 2
47.51, 28.7, 2 2 0
47.63, 13.8, 0 0 4
52.12, 22.7, 2 1 3
59.17, 38.5, 2 0 4
63.13, 13.1, 3 0 3
69.52, 23.6, 4 0 0
73.16, 10.8, 4 1 1
79.13, 10.8, 4 2 0